The following is a simulated powder XRD pattern of Li3FeO3. It was derived from a GGA+U-relaxed structure, using Cu Ka.
Peak positions follow from Bragg's law for the DFT cell and can differ from measured ones.

Principal peaks in the range 2θ from 10° to 80°, by angle:
h k l, 2θ (°), I (rel.)
1 1 0, 14.07, 48
2 1 0, 22.34, 37
1 0 1, 26.59, 100
1 1 1, 28.45, 33
4 0 0, 40.56, 53
4 1 1, 49.15, 21
0 0 2, 50.43, 14
5 1 0, 52.44, 9
5 0 1, 57.73, 27
4 4 0, 58.71, 12
4 0 2, 66.62, 15
5 4 1, 72.91, 15

Structural model:
Unit cell a=8.8988 b=8.8988 c=3.6189 alpha=90.00 beta=90.00 gamma=90.00
Space group P4_2/mnm (No. 136)
One atom of each set of equivalent atoms:
Li 0.1015 0.3587 0.0000 [8 per cell]
Li 0.1681 0.1681 0.5000 [4 per cell]
Fe 0.1151 0.8849 0.0000 [4 per cell]
O 0.1017 0.1017 0.0000 [4 per cell]
O 0.1118 0.6781 0.0000 [8 per cell]